Na4Nd3MoO8: computed X-ray diffraction stick pattern (Cu Ka), based on a cell relaxed with PBE+U.
Intensities are scaled so that the largest is 100.

Structural model:
abc: 6.9946 6.9946 16.8783
angles: 90.00 90.00 120.00
Space group R-3m (No. 166, hexagonal axes)
Symmetry-distinct sites (fractional):
1 Na 0.0000 0.0000 0.0000 [3 per cell]
2 Na 0.0000 0.5000 0.0000 [9 per cell]
3 Nd 0.0000 0.5000 0.5000 [9 per cell]
4 Mo 0.0000 0.0000 0.5000 [3 per cell]
5 O 0.0000 0.0000 0.2396 [6 per cell]
6 O 0.0164 0.5082 0.2384 [18 per cell]

Main lines, by angle (2θ = 10–80°):
2θ/deg, intensity, (hkl)
15.75, 100, 0 0 3
29.97, 53, 0 2 1
31.38, 64, 2 0 2
31.81, 22, 0 0 6
36.52, 100, 0 2 4
39.99, 21, 2 0 5
52.32, 34, 2 2 0
52.89, 31, 2 0 8
54.99, 23, 2 2 3
62.54, 20, 2 2 6



NaNdMoO5: computed X-ray diffraction stick pattern (Cu Ka), based on a cell relaxed with PBE+U.
Intensities are scaled so that the largest is 100.

Structural model:
abc: 7.192 10.686 8.269
angles: 90.00 112.74 90.00
Space group C2/c (No. 15)
Symmetry-distinct sites (fractional):
1 Na 0.000 0.212 0.250 [4 per cell]
2 Nd 0.000 0.500 0.000 [4 per cell]
3 Mo 0.000 0.199 0.750 [4 per cell]
4 O 0.000 0.418 0.250 [4 per cell]
5 O 0.135 0.299 0.655 [8 per cell]
6 O 0.169 0.101 0.920 [8 per cell]

Main lines, by angle (2θ = 10–80°):
2θ/deg, intensity, (hkl)
15.73, 89, 1 1 0
16.20, 47, 1 1 -1
23.48, 88, 1 1 -2
26.88, 64, 2 0 0
28.44, 84, 1 3 0
28.76, 100, 0 2 2
32.74, 53, 2 2 -2
39.31, 24, 3 1 -2
45.90, 29, 2 2 2
48.14, 28, 1 5 -2